No. 1
# Bi4PbCl2O6
Computed X-ray diffraction stick pattern, a wavelength of 1.5418 Å. Input: a structure optimized by DFT (GGA-PBE).
Peak positions follow from Bragg's law for the DFT cell and can differ from measured ones.

Most intense lines, 15° ≤ 2θ ≤ 90°, by angle:
| d/Å | I (rel.) | (hkl) |
| --- | --- | --- |
| 3.732 | 26.6 | 1 0 3 |
| 3.227 | 9.6 | 0 0 10 |
| 3.012 | 100.0 | 1 0 7 |
| 2.813 | 41.2 | 1 1 0 |
| 2.121 | 22.6 | 1 1 10 |
| 1.989 | 22.0 | 2 0 0 |
| 1.783 | 15.8 | 1 1 14 |
| 1.713 | 18.8 | 1 0 17 |
| 1.660 | 35.9 | 2 1 7 |
| 1.298 | 14.0 | 2 1 17 |

```
data_Bi4PbCl2O6
_chemical_formula_sum 'Bi8 Pb2 Cl4 O12'
_cell_length_a 3.979
_cell_length_b 3.979
_cell_length_c 32.268
_cell_angle_alpha 90.00
_cell_angle_beta 90.00
_cell_angle_gamma 90.00
_symmetry_space_group_name_H-M 'I 4/m m m'
_symmetry_Int_Tables_number 139
_symmetry_space_group_name_Hall '-I 4 2'
loop_
_atom_site_label
_atom_site_type_symbol
_atom_site_fract_x
_atom_site_fract_y
_atom_site_fract_z
_atom_site_occupancy
Bi1 Bi 0.000 0.000 0.083 1
Bi2 Bi 0.000 0.000 0.212 1
Pb1 Pb 0.000 0.000 0.500 1
Cl1 Cl 0.000 0.000 0.332 1
O1 O 0.000 0.500 0.053 1
O2 O 0.000 0.500 0.250 1
```

---

No. 2
# BiPbClO2
Computed X-ray diffraction stick pattern, a wavelength of 1.5418 Å. Input: a structure optimized by DFT (GGA-PBE).
Peak positions follow from Bragg's law for the DFT cell and can differ from measured ones.

Most intense lines, 15° ≤ 2θ ≤ 90°, by angle:
| d/Å | I (rel.) | (hkl) |
| --- | --- | --- |
| 3.838 | 33.2 | 0 0 2 |
| 3.511 | 98.4 | 1 1 0 |
| 2.997 | 100.0 | 2 0 -2 |
| 2.802 | 90.8 | 1 1 -2 |
| 2.614 | 41.9 | 2 1 0 |
| 2.051 | 21.2 | 0 2 0 |
| 1.972 | 24.3 | 2 1 2 |
| 1.968 | 24.2 | 3 1 -2 |
| 1.738 | 27.3 | 0 1 4 |
| 1.693 | 38.3 | 2 2 -2 |

```
data_BiPbClO2
_chemical_formula_sum 'Bi2 Pb2 Cl2 O4'
_cell_length_a 7.069
_cell_length_b 4.102
_cell_length_c 8.002
_cell_angle_alpha 90.00
_cell_angle_beta 106.27
_cell_angle_gamma 90.00
_symmetry_space_group_name_H-M 'P 1 21/m 1'
_symmetry_Int_Tables_number 11
loop_
_symmetry_equiv_pos_as_xyz
'x,y,z'
'-x,-y,-z'
'-x,y+1/2,-z'
'x,-y+1/2,z'
loop_
_atom_site_label
_atom_site_type_symbol
_atom_site_fract_x
_atom_site_fract_y
_atom_site_fract_z
_atom_site_occupancy
Bi1 Bi 0.168 0.250 0.411 1
Pb1 Pb 0.192 0.250 0.935 1
Cl1 Cl 0.430 0.750 0.254 1
O1 O 0.005 0.750 0.864 1
O2 O 0.015 0.750 0.395 1
```